Theoretical XRD peak list of Pr2NdHoPt2 for a wavelength of 1.5418 Å, from a DFT-relaxed cell (GGA-PBE, Alexandria).
Kinematic intensities with the Lorentz-polarization factor, no thermal factor.

Structural model:
Unit cell a=6.935 b=14.333 c=6.923 alpha=90.00 beta=90.00 gamma=90.00
Space group Ibam (No. 72)
Unique sites:
Pr: 0.205 0.193 0.000
Nd: 0.000 0.500 0.250
Ho: 0.000 0.000 0.250
Pt: 0.229 0.110 0.500

Most intense lines, 2θ from 5° to 70°, in order of falling intensity:
36.68°, intensity 100, (2 0 2); 36.06°, intensity 97, (0 4 2); 28.62°, intensity 86, (0 2 2); 30.92°, intensity 64, (1 4 1); 42.08°, intensity 48, (1 6 1); 57.04°, intensity 34, (1 6 3); 25.72°, intensity 33, (0 0 2); 65.65°, intensity 33, (2 4 4); 21.98°, intensity 32, (1 2 1); 48.72°, intensity 29, (1 4 3)

---

Theoretical XRD peak list of TbPmTm2Th for a wavelength of 1.5418 Å, from a DFT-relaxed cell (GGA-PBE, Alexandria).
Kinematic intensities with the Lorentz-polarization factor, no thermal factor.

Structural model:
Unit cell a=3.531 b=5.594 c=8.650 alpha=90.00 beta=90.00 gamma=90.00
Space group Pmmm (No. 47)
Unique sites:
Tb: 0.000 0.000 0.000
Pm: 0.500 0.000 0.500
Tm: 0.500 0.500 0.179
Th: 0.000 0.500 0.500

Most intense lines, 2θ from 5° to 70°, in order of falling intensity:
31.70°, intensity 100, (1 1 1); 32.00°, intensity 40, (0 2 0); 36.57°, intensity 27, (1 1 2); 35.01°, intensity 27, (0 1 3); 62.00°, intensity 21, (1 1 5); 32.74°, intensity 20, (1 0 2); 56.84°, intensity 19, (1 3 1); 15.84°, intensity 18, (0 1 0); 31.02°, intensity 17, (0 0 3); 20.54°, intensity 16, (0 0 2)

---

Theoretical XRD peak list of RbCr3Tc for a wavelength of 1.5418 Å, from a DFT-relaxed cell (GGA-PBE, Alexandria).
Kinematic intensities with the Lorentz-polarization factor, no thermal factor.

Structural model:
Unit cell a=4.943 b=4.943 c=4.943 alpha=90.00 beta=90.00 gamma=90.00
Space group Pm-3m (No. 221)
Unique sites:
Rb: 0.000 0.000 0.000
Cr: 0.000 0.500 0.500
Tc: 0.500 0.500 0.500

Most intense lines, 2θ from 5° to 70°, in order of falling intensity:
36.35°, intensity 100, (2 0 0); 25.48°, intensity 74, (1 1 0); 52.35°, intensity 66, (2 2 0); 31.34°, intensity 37, (1 1 1); 44.92°, intensity 32, (2 1 1); 17.94°, intensity 24, (1 0 0); 65.40°, intensity 22, (2 2 2); 59.10°, intensity 14, (3 1 0); 62.29°, intensity 12, (3 1 1); 40.82°, intensity 11, (2 1 0)

---

Theoretical XRD peak list of Pm4ErTm15 for a wavelength of 1.5418 Å, from a DFT-relaxed cell (GGA-PBE, Alexandria).
Kinematic intensities with the Lorentz-polarization factor, no thermal factor.

Structural model:
Unit cell a=4.982 b=4.982 c=24.838 alpha=90.00 beta=90.00 gamma=90.00
Space group P4/mmm (No. 123)
Unique sites:
Pm: 0.000 0.000 0.100
Pm: 0.000 0.000 0.300
Er: 0.000 0.000 0.500
Tm: 0.000 0.500 0.000
Tm: 0.000 0.500 0.201
Tm: 0.000 0.500 0.401
Tm: 0.500 0.500 0.100
Tm: 0.500 0.500 0.301
Tm: 0.500 0.500 0.500

Most intense lines, 2θ from 5° to 70°, in order of falling intensity:
31.12°, intensity 100, (1 1 5); 51.96°, intensity 36, (2 2 0); 36.05°, intensity 34, (2 0 0); 61.77°, intensity 29, (3 1 5); 36.16°, intensity 17, (0 0 10); 61.92°, intensity 14, (1 1 15); 64.90°, intensity 12, (2 2 10)

---

Theoretical XRD peak list of TlHPd3 for a wavelength of 1.5418 Å, from a DFT-relaxed cell (GGA-PBE, Alexandria).
Kinematic intensities with the Lorentz-polarization factor, no thermal factor.

Structural model:
Unit cell a=5.8300 b=5.8300 c=4.8007 alpha=90.00 beta=90.00 gamma=120.00
Space group P6_3mc (No. 186)
Unique sites:
Tl: 0.3333 0.6667 0.0000
H: 0.0000 0.0000 0.3376
Pd: 0.1675 0.3351 0.4977

Most intense lines, 2θ from 5° to 70°, in order of falling intensity:
40.37°, intensity 100, (2 0 1); 37.47°, intensity 27, (0 0 2); 35.56°, intensity 23, (2 0 0); 69.55°, intensity 20, (2 0 3); 63.87°, intensity 17, (2 2 0); 52.61°, intensity 15, (2 0 2); 25.60°, intensity 9, (1 0 1); 30.67°, intensity 4, (1 1 0); 17.57°, intensity 4, (1 0 0); 51.54°, intensity 3, (2 1 1)

---

Theoretical XRD peak list of Ce4SmBi5 for a wavelength of 1.5418 Å, from a DFT-relaxed cell (GGA-PBE, Alexandria).
Kinematic intensities with the Lorentz-polarization factor, no thermal factor.

Structural model:
Unit cell a=4.584 b=6.498 c=23.002 alpha=90.00 beta=90.00 gamma=90.00
Space group Immm (No. 71)
Unique sites:
Ce: 0.000 0.000 0.100
Ce: 0.000 0.000 0.301
Sm: 0.000 0.000 0.500
Bi: 0.000 0.500 0.100
Bi: 0.000 0.500 0.300
Bi: 0.000 0.500 0.500

Most intense lines, 2θ from 5° to 70°, in order of falling intensity:
27.46°, intensity 100, (1 0 5); 39.21°, intensity 66, (1 2 5); 64.09°, intensity 32, (2 2 10); 48.49°, intensity 14, (0 2 10); 48.61°, intensity 14, (2 2 0); 56.68°, intensity 14, (2 0 10); 39.31°, intensity 13, (2 0 0); 64.23°, intensity 6, (3 0 5); 23.73°, intensity 6, (1 1 0); 46.36°, intensity 4, (2 1 5)